1.
Theoretical powder X-ray diffraction pattern of Hf3Tl2Cu2Se8 for copper Kα, from DFT lattice parameters and positions (PBE).
Neutral-atom scattering factors, no anomalous dispersion.

Largest 8 diffraction maxima, by angle, 10 to 90 degrees two-theta:
d [Å]	I_rel
7.549	68
4.656	40
2.999	44
2.956	100
2.635	57
2.385	43
2.080	37
1.914	45

Structural model:
```
Hf3Tl2Cu2Se8
1.0
7.6221 -1.9144 0.0000
7.6221 1.9144 0.0000
-5.7874 0.0000 13.1764
Hf Tl Cu Se
3 2 2 8
Direct
0.0000 0.0000 0.0000
0.1609 0.1609 0.3765
0.8391 0.8391 0.6235
0.1533 0.1533 0.7868
0.8467 0.8467 0.2132
0.4480 0.4480 0.8014
0.5520 0.5520 0.1986
0.1494 0.1494 0.1860
0.2027 0.2027 0.5797
0.4016 0.4016 0.0495
0.4692 0.4692 0.6432
0.5308 0.5308 0.3568
0.5984 0.5984 0.9505
0.7973 0.7973 0.4203
0.8506 0.8506 0.8139
```



2.
Theoretical powder X-ray diffraction pattern of Hf12Cu6Sn for copper Kα, from DFT lattice parameters and positions (PBE).
Neutral-atom scattering factors, no anomalous dispersion.

Largest 8 diffraction maxima, by angle, 10 to 90 degrees two-theta:
d [Å]	I_rel
2.852	28
2.604	42
2.411	100
2.255	21
2.126	16
2.017	16
1.547	30
1.463	30

Structural model:
```
Hf12Cu6Sn
1.0
-4.5101 4.5101 4.5101
4.5101 -4.5101 4.5101
4.5101 4.5101 -4.5101
Hf Cu Sn
12 6 1
Direct
0.1025 0.8191 0.2834
0.1809 0.2834 0.4644
0.1809 0.7166 0.8975
0.2834 0.1025 0.8191
0.2834 0.4644 0.1809
0.4644 0.1809 0.2834
0.5356 0.8191 0.7166
0.7166 0.5356 0.8191
0.7166 0.8975 0.1809
0.8191 0.2834 0.1025
0.8191 0.7166 0.5356
0.8975 0.1809 0.7166
0.1334 0.6334 0.5000
0.3666 0.5000 0.8666
0.5000 0.1334 0.6334
0.5000 0.8666 0.3666
0.6334 0.5000 0.1334
0.8666 0.3666 0.5000
0.0000 0.0000 0.0000
```



3.
Theoretical powder X-ray diffraction pattern of TbHfCu10 for copper Kα, from DFT lattice parameters and positions (PBE).
Neutral-atom scattering factors, no anomalous dispersion.

Largest 8 diffraction maxima, by angle, 10 to 90 degrees two-theta:
d [Å]	I_rel
2.960	77
2.472	31
2.148	35
2.123	51
2.115	100
2.045	42
1.481	20
1.351	22

Structural model:
```
TbHfCu10
1.0
4.0897 0.0000 0.0000
0.0000 4.9682 0.0000
0.0000 0.0000 8.5477
Tb Hf Cu
1 1 10
Direct
0.0000 0.0000 0.0000
0.0000 0.5000 0.5000
0.0000 0.0000 0.3406
0.0000 0.0000 0.6594
0.0000 0.5000 0.1758
0.0000 0.5000 0.8242
0.5000 0.0000 0.5000
0.5000 0.2543 0.2574
0.5000 0.2543 0.7426
0.5000 0.5000 0.0000
0.5000 0.7457 0.2574
0.5000 0.7457 0.7426
```



4.
Theoretical powder X-ray diffraction pattern of Hf2Tl2CuTe6 for copper Kα, from DFT lattice parameters and positions (PBE).
Neutral-atom scattering factors, no anomalous dispersion.

Largest 8 diffraction maxima, by angle, 10 to 90 degrees two-theta:
d [Å]	I_rel
8.282	15
3.089	100
3.078	44
2.356	32
2.306	19
2.080	17
2.039	32
1.723	18

Structural model:
```
Hf2Tl2CuTe6
1.0
3.5095 -6.2393 0.0000
3.5095 6.2393 0.0000
-2.4808 0.0000 8.2818
Hf Tl Cu Te
2 2 1 6
Direct
0.1713 0.8287 0.0000
0.8287 0.1713 0.0000
0.3341 0.6659 0.5000
0.6659 0.3341 0.5000
0.5000 0.5000 0.0000
0.0919 0.4246 0.7950
0.2503 0.2503 0.1842
0.4246 0.0919 0.7950
0.5754 0.9081 0.2050
0.7497 0.7497 0.8158
0.9081 0.5754 0.2050
```



5.
Theoretical powder X-ray diffraction pattern of Hf3Tl3CuTe8 for copper Kα, from DFT lattice parameters and positions (PBE).
Neutral-atom scattering factors, no anomalous dispersion.

Largest 8 diffraction maxima, by angle, 10 to 90 degrees two-theta:
d [Å]	I_rel
6.206	11
3.103	100
2.352	35
2.066	13
2.064	23
1.719	18
1.466	10
1.321	15

Structural model:
```
Hf3Tl3CuTe8
1.0
7.1463 -4.1304 0.0000
7.1463 4.1304 0.0000
-4.7583 0.0000 8.3304
Hf Tl Cu Te
3 3 1 8
Direct
0.0000 0.0000 0.0000
0.0000 0.5000 0.0000
0.5000 0.0000 0.0000
0.0000 0.5000 0.5000
0.5000 0.0000 0.5000
0.5000 0.5000 0.5000
0.5000 0.5000 0.0000
0.2352 0.2352 0.2056
0.2345 0.7296 0.1937
0.2704 0.7655 0.8063
0.2714 0.2714 0.8070
0.7286 0.7286 0.1930
0.7296 0.2345 0.1937
0.7655 0.2704 0.8063
0.7648 0.7648 0.7944
```



6.
Theoretical powder X-ray diffraction pattern of HfTlCu for copper Kα, from DFT lattice parameters and positions (PBE).
Neutral-atom scattering factors, no anomalous dispersion.

Largest 8 diffraction maxima, by angle, 10 to 90 degrees two-theta:
d [Å]	I_rel
3.251	30
2.683	12
2.469	100
2.413	57
1.794	15
1.706	20
1.403	34
1.398	10

Structural model:
```
HfTlCu
1.0
3.4126 0.0000 0.0000
0.0000 10.7317 0.0000
0.0000 0.0000 3.4111
Hf Tl Cu
2 2 2
Direct
0.0000 0.0876 0.0000
0.5000 0.9124 0.5000
0.0000 0.3880 0.9980
0.5000 0.6120 0.4980
0.0000 0.7836 0.0007
0.5000 0.2164 0.5007
```



7.
Theoretical powder X-ray diffraction pattern of TmHf2Cu6 for copper Kα, from DFT lattice parameters and positions (PBE).
Neutral-atom scattering factors, no anomalous dispersion.

Largest 8 diffraction maxima, by angle, 10 to 90 degrees two-theta:
d [Å]	I_rel
3.686	30
2.344	100
2.128	62
1.576	29
1.518	7
1.266	27
1.236	20
1.229	10

Structural model:
```
TmHf2Cu6
1.0
7.3729 0.0000 0.0000
-3.6865 6.3851 0.0000
0.0000 0.0000 3.0363
Tm Hf Cu
1 2 6
Direct
0.0000 0.0000 0.0000
0.3333 0.6667 0.0000
0.6667 0.3333 0.0000
0.0000 0.3363 0.5000
0.0000 0.6637 0.5000
0.3363 0.0000 0.5000
0.3363 0.3363 0.5000
0.6637 0.0000 0.5000
0.6637 0.6637 0.5000
```



8.
Theoretical powder X-ray diffraction pattern of Hf11Zn9Cu4 for copper Kα, from DFT lattice parameters and positions (PBE).
Neutral-atom scattering factors, no anomalous dispersion.

Largest 8 diffraction maxima, by angle, 10 to 90 degrees two-theta:
d [Å]	I_rel
3.327	21
3.262	23
3.240	24
2.329	100
2.321	100
2.299	91
1.664	25
1.348	33

Structural model:
```
Hf11Zn9Cu4
1.0
6.4790 -9.7869 0.0000
6.4790 9.7869 0.0000
0.0000 0.0000 3.3269
Hf Zn Cu
11 9 4
Direct
0.0000 0.0000 0.0000
0.0672 0.4109 0.0000
0.1645 0.8355 0.0000
0.2822 0.2822 0.0000
0.3579 0.6421 0.0000
0.4109 0.0672 0.0000
0.5891 0.9328 0.0000
0.6421 0.3579 0.0000
0.7178 0.7178 0.0000
0.8355 0.1645 0.0000
0.9328 0.5891 0.0000
0.0620 0.2113 0.5000
0.1528 0.6305 0.5000
0.2113 0.0620 0.5000
0.3695 0.8472 0.5000
0.5000 0.5000 0.5000
0.6305 0.1528 0.5000
0.7887 0.9380 0.5000
0.8472 0.3695 0.5000
0.9380 0.7887 0.5000
0.2551 0.4493 0.5000
0.4493 0.2551 0.5000
0.5507 0.7449 0.5000
0.7449 0.5507 0.5000
```